[1]
For TbNdSi4Ni2, the PBE geometry in OQMD gives the computed X-ray powder pattern in this record (Cu Kα).
Peak positions follow from Bragg's law for the DFT cell and can differ from measured ones.

Principal peaks in the range 2θ from 10° to 80°, by angle:
d_spacing	two_theta	I_rel	h k l
4.073	21.82	29	0 0 2
3.976	22.36	21	1 0 0
3.609	24.67	29	0 1 1
2.863	31.24	29	0 1 2
2.829	31.63	81	1 1 0
2.551	35.18	78	1 0 -3
2.539	35.35	100	1 1 1
2.251	40.05	37	0 1 3
2.050	44.18	35	2 0 -1
2.013	45.04	33	0 2 0
1.580	58.40	35	1 2 -3
1.436	64.93	21	2 2 -1

Atomic structure:
Unit cell a=4.100 b=4.025 c=8.396 alpha=90.00 beta=103.99 gamma=90.00
Space group Pm (No. 6)
Inequivalent atoms, fractional coordinates:
Tb: 0.000 0.000 0.000 [1 per cell]
Nd: 0.212 0.500 0.423 [1 per cell]
Si: 0.357 0.000 0.715 [1 per cell]
Si: 0.565 0.500 0.130 [1 per cell]
Si: 0.646 0.000 0.291 [1 per cell]
Si: 0.860 0.500 0.716 [1 per cell]
Ni: 0.428 0.500 0.853 [1 per cell]
Ni: 0.788 0.000 0.575 [1 per cell]

=====

[2]
For NdYSi4Ni2, the PBE geometry in OQMD gives the computed X-ray powder pattern in this record (Cu Kα).
Peak positions follow from Bragg's law for the DFT cell and can differ from measured ones.

Principal peaks in the range 2θ from 10° to 80°, by angle:
d_spacing	two_theta	I_rel	h k l
4.097	21.69	23	0 0 4
2.869	31.17	35	1 0 4
2.820	31.73	87	1 1 1
2.555	35.13	82	0 1 5
2.536	35.40	100	1 1 3
2.259	39.90	41	1 0 6
2.039	44.43	38	0 2 0
2.010	45.11	37	2 0 0
1.825	49.97	26	1 0 8
1.662	55.26	35	0 1 9
1.580	58.42	36	2 1 5
1.431	65.17	24	2 2 0

Atomic structure:
Unit cell a=4.020 b=4.078 c=16.388 alpha=90.00 beta=90.00 gamma=90.00
Space group Amm2 (No. 38)
Inequivalent atoms, fractional coordinates:
Nd: 0.000 0.000 0.000 [2 per cell]
Y: 0.500 0.000 0.212 [2 per cell]
Si: 0.000 0.000 0.354 [2 per cell]
Si: 0.000 0.000 0.647 [2 per cell]
Si: 0.500 0.000 0.566 [2 per cell]
Si: 0.500 0.000 0.854 [2 per cell]
Ni: 0.000 0.000 0.784 [2 per cell]
Ni: 0.500 0.000 0.425 [2 per cell]

=====

[3]
For NdYSi4Ni2, the PBE geometry in OQMD gives the computed X-ray powder pattern in this record (Cu Kα).
Peak positions follow from Bragg's law for the DFT cell and can differ from measured ones.

Principal peaks in the range 2θ from 10° to 80°, by angle:
d_spacing	two_theta	I_rel	h k l
4.085	21.75	23	0 0 2
2.869	31.18	34	0 1 2
2.830	31.61	87	1 1 -1
2.559	35.07	40	1 0 2
2.552	35.17	41	1 0 -3
2.542	35.31	100	1 1 1
2.256	39.96	40	0 1 3
2.049	44.19	39	2 0 -1
2.015	45.00	37	0 2 0
1.822	50.07	20	0 1 4
1.582	58.32	36	1 2 -3
1.437	64.90	24	2 2 -1

Atomic structure:
Unit cell a=4.099 b=4.029 c=8.418 alpha=90.00 beta=103.93 gamma=90.00
Space group Pm (No. 6)
Inequivalent atoms, fractional coordinates:
Nd: 0.000 0.000 0.000 [1 per cell]
Y: 0.788 0.500 0.576 [1 per cell]
Si: 0.143 0.500 0.292 [1 per cell]
Si: 0.353 0.000 0.706 [1 per cell]
Si: 0.433 0.500 0.867 [1 per cell]
Si: 0.651 0.000 0.292 [1 per cell]
Ni: 0.220 0.000 0.430 [1 per cell]
Ni: 0.573 0.500 0.150 [1 per cell]